# 1
For AgHPbC2SN2O, a DFT-relaxed cell (GGA-PBE, the Materials Project) gives the simulated X-ray diffraction stick pattern in this record (Cu Ka).
Peak positions follow from Bragg's law for the DFT cell and can differ from measured ones.

Cell and atoms:
```
data_AgHPbC2SN2O
_chemical_formula_sum 'Ag4 H4 Pb4 C8 S4 N8 O4'
_cell_length_a 21.947
_cell_length_b 4.111
_cell_length_c 7.362
_cell_angle_alpha 90.00
_cell_angle_beta 90.00
_cell_angle_gamma 90.00
_symmetry_space_group_name_H-M 'P n m a'
_symmetry_Int_Tables_number 62
_symmetry_space_group_name_Hall '-P 2ac 2n'
loop_
_atom_site_label
_atom_site_fract_x
_atom_site_fract_y
_atom_site_fract_z
_atom_site_occupancy
Ag1 0.198 0.250 0.010 1
H1 0.048 0.750 0.711 1
Pb1 0.043 0.750 0.308 1
C1 0.103 0.250 0.963 1
C2 0.177 0.250 0.538 1
S1 0.243 0.250 0.645 1
N1 0.053 0.250 0.910 1
N2 0.130 0.250 0.461 1
O1 0.013 0.750 0.627 1
```

The 8 most intense peaks (10° ≤ 2θ ≤ 90°), sorted by position:
- 2θ = 16.15°, rel. 34, hkl 4 0 0
- 2θ = 17.09°, rel. 43, hkl 3 0 1
- 2θ = 20.18°, rel. 42, hkl 4 0 1
- 2θ = 24.81°, rel. 47, hkl 0 1 1
- 2θ = 25.52°, rel. 46, hkl 2 0 2
- 2θ = 26.12°, rel. 34, hkl 2 1 1
- 2θ = 27.11°, rel. 100, hkl 4 1 0
- 2θ = 41.14°, rel. 36, hkl 6 1 2

# 2
For AgH4C2S2N3, a DFT-relaxed cell (GGA-PBE, the Materials Project) gives the simulated X-ray diffraction stick pattern in this record (Cu Ka).
Peak positions follow from Bragg's law for the DFT cell and can differ from measured ones.

Cell and atoms:
```
data_AgH4C2S2N3
_chemical_formula_sum 'Ag4 H16 C8 S8 N12'
_cell_length_a 4.515
_cell_length_b 17.087
_cell_length_c 9.694
_cell_angle_alpha 90.00
_cell_angle_beta 113.85
_cell_angle_gamma 90.00
_symmetry_space_group_name_H-M 'P 1 21/c 1'
_symmetry_Int_Tables_number 14
_symmetry_space_group_name_Hall '-P 2ybc'
loop_
_atom_site_label
_atom_site_fract_x
_atom_site_fract_y
_atom_site_fract_z
_atom_site_occupancy
Ag1 0.198 0.077 0.031 1
H1 0.087 0.630 0.007 1
H2 0.180 0.246 0.775 1
H3 0.229 0.225 0.457 1
H4 0.369 0.579 0.162 1
C1 0.116 0.664 0.214 1
C2 0.442 0.606 0.785 1
S1 0.183 0.532 0.738 1
S2 0.285 0.648 0.407 1
N1 0.111 0.219 0.343 1
N2 0.207 0.623 0.121 1
N3 0.374 0.159 0.677 1
```

The 8 most intense peaks (10° ≤ 2θ ≤ 90°), sorted by position:
- 2θ = 10.35°, rel. 22, hkl 0 2 0
- 2θ = 11.24°, rel. 100, hkl 0 1 1
- 2θ = 25.21°, rel. 10, hkl 1 3 -1
- 2θ = 27.67°, rel. 14, hkl 1 3 -2
- 2θ = 28.80°, rel. 22, hkl 1 4 -1
- 2θ = 29.23°, rel. 10, hkl 1 2 1
- 2θ = 32.04°, rel. 11, hkl 0 2 3
- 2θ = 42.09°, rel. 11, hkl 2 2 -1

# 3
For AgH6CSN3, a DFT-relaxed cell (GGA-PBE, the Materials Project) gives the simulated X-ray diffraction stick pattern in this record (Cu Ka).
Peak positions follow from Bragg's law for the DFT cell and can differ from measured ones.

Cell and atoms:
```
data_AgH6CSN3
_chemical_formula_sum 'Ag8 H48 C8 S8 N24'
_cell_length_a 13.589
_cell_length_b 7.274
_cell_length_c 13.337
_cell_angle_alpha 90.00
_cell_angle_beta 97.49
_cell_angle_gamma 90.00
_symmetry_space_group_name_H-M 'C 1 2/c 1'
_symmetry_Int_Tables_number 15
_symmetry_space_group_name_Hall '-C 2yc'
loop_
_atom_site_label
_atom_site_fract_x
_atom_site_fract_y
_atom_site_fract_z
_atom_site_occupancy
Ag1 0.054 0.019 0.150 1
H1 0.041 0.360 0.626 1
H2 0.107 0.330 0.738 1
H3 0.145 0.307 0.050 1
H4 0.162 0.309 0.635 1
H5 0.187 0.319 0.172 1
H6 0.235 0.166 0.100 1
C1 0.116 0.342 0.391 1
S1 0.123 0.116 0.383 1
N1 0.098 0.285 0.665 1
N2 0.114 0.496 0.898 1
N3 0.171 0.231 0.113 1
```

The 8 most intense peaks (10° ≤ 2θ ≤ 90°), sorted by position:
- 2θ = 13.14°, rel. 39, hkl 2 0 0
- 2θ = 13.83°, rel. 100, hkl 1 1 0
- 2θ = 19.89°, rel. 17, hkl 1 1 2
- 2θ = 26.97°, rel. 30, hkl 0 0 4
- 2θ = 27.88°, rel. 16, hkl 2 2 0
- 2θ = 28.24°, rel. 20, hkl 3 1 2
- 2θ = 28.48°, rel. 16, hkl 2 0 -4
- 2θ = 29.64°, rel. 17, hkl 1 1 -4